1.
Diffraction record for Li9Mn2Co5O16. The powder diffractogram is computed, not measured: it uses a cell relaxed with GGA+U and a wavelength of 1.5418 Å.
Peak positions follow from Bragg's law for the DFT cell and can differ from measured ones.

Cell and atoms:
```
Li9Mn2Co5O16
1.0
5.176 -5.762 0.000
5.176 5.762 0.000
-1.844 0.000 4.777
Li Mn Co O
9 2 5 16
Direct
0.000 0.000 0.000
0.000 0.507 0.495
0.117 0.364 0.007
0.237 0.237 0.482
0.361 0.120 0.991
0.493 0.000 0.505
0.636 0.883 0.993
0.763 0.763 0.518
0.880 0.639 0.009
0.371 0.629 0.500
0.751 0.249 0.000
0.126 0.874 0.500
0.243 0.757 0.000
0.498 0.502 0.000
0.623 0.377 0.500
0.885 0.115 0.500
0.026 0.761 0.748
0.122 0.115 0.723
0.135 0.633 0.278
0.239 0.974 0.252
0.272 0.525 0.757
0.367 0.865 0.722
0.376 0.389 0.274
0.475 0.728 0.243
0.512 0.271 0.767
0.611 0.624 0.726
0.635 0.143 0.241
0.729 0.488 0.233
0.747 0.024 0.754
0.857 0.365 0.759
0.885 0.878 0.277
0.976 0.253 0.246
```

Peak list (8 most intense, 2θ from 10° to 80°, in order of rising 2θ)
4.829 Å, 2θ 18.4, rel. 1000; 2.534 Å, 2θ 35.4, rel. 145; 2.467 Å, 2θ 36.4, rel. 248; 2.385 Å, 2θ 37.7, rel. 110; 2.123 Å, 2θ 42.6, rel. 293; 2.048 Å, 2θ 44.2, rel. 508; 1.480 Å, 2θ 62.8, rel. 144; 1.468 Å, 2θ 63.4, rel. 145

2.
Diffraction record for MgMn2Br6O12. The powder diffractogram is computed, not measured: it uses a cell relaxed with GGA+U and a wavelength of 1.5418 Å.
Peak positions follow from Bragg's law for the DFT cell and can differ from measured ones.

Cell and atoms:
```
MgMn2Br6O12
1.0
7.271 -5.378 0.000
7.271 5.378 0.000
-1.035 0.000 7.305
Mg Mn Br O
1 2 6 12
Direct
0.000 0.000 0.000
0.359 0.359 0.703
0.641 0.641 0.297
0.084 0.742 0.231
0.258 0.916 0.769
0.327 0.327 0.994
0.673 0.673 0.006
0.742 0.084 0.231
0.916 0.258 0.769
0.031 0.031 0.712
0.044 0.754 0.997
0.246 0.956 0.003
0.262 0.262 0.571
0.295 0.539 0.675
0.461 0.705 0.325
0.539 0.295 0.675
0.705 0.461 0.325
0.738 0.738 0.429
0.754 0.044 0.997
0.956 0.246 0.003
0.969 0.969 0.288
```

Peak list (8 most intense, 2θ from 10° to 80°, in order of rising 2θ)
7.305 Å, 2θ 12.1, rel. 455; 5.818 Å, 2θ 15.2, rel. 469; 5.360 Å, 2θ 16.5, rel. 1000; 4.383 Å, 2θ 20.3, rel. 687; 3.582 Å, 2θ 24.9, rel. 448; 3.563 Å, 2θ 25.0, rel. 660; 3.479 Å, 2θ 25.6, rel. 613; 2.753 Å, 2θ 32.5, rel. 515

3.
Diffraction record for V6PbO11. The powder diffractogram is computed, not measured: it uses a cell relaxed with GGA+U and a wavelength of 1.5418 Å.
Peak positions follow from Bragg's law for the DFT cell and can differ from measured ones.

Cell and atoms:
```
V6PbO11
1.0
5.931 0.000 0.000
2.935 5.164 0.000
0.021 0.003 13.321
V Pb O
12 2 22
Direct
0.000 0.000 0.000
0.000 0.004 0.504
0.002 0.498 0.647
0.330 0.836 0.249
0.495 0.505 0.000
0.496 0.003 0.002
0.497 0.506 0.502
0.502 0.001 0.504
0.663 0.170 0.752
0.992 0.509 0.356
0.993 0.500 0.148
0.998 0.507 0.859
0.329 0.837 0.745
0.650 0.171 0.270
0.144 0.646 0.247
0.151 0.209 0.253
0.176 0.678 0.919
0.180 0.148 0.586
0.181 0.671 0.583
0.184 0.151 0.922
0.293 0.360 0.753
0.338 0.842 0.086
0.340 0.823 0.418
0.341 0.327 0.081
0.355 0.336 0.422
0.650 0.685 0.921
0.653 0.665 0.585
0.659 0.165 0.913
0.660 0.181 0.593
0.700 0.653 0.250
0.823 0.333 0.423
0.823 0.845 0.081
0.823 0.856 0.420
0.837 0.822 0.750
0.839 0.351 0.755
0.840 0.341 0.079
```

Peak list (8 most intense, 2θ from 10° to 80°, in order of rising 2θ)
4.808 Å, 2θ 18.5, rel. 667; 2.968 Å, 2θ 30.1, rel. 534; 2.797 Å, 2θ 32.0, rel. 1000; 2.724 Å, 2θ 32.9, rel. 494; 2.711 Å, 2θ 33.0, rel. 980; 2.406 Å, 2θ 37.4, rel. 403; 2.231 Å, 2θ 40.4, rel. 461; 1.684 Å, 2θ 54.5, rel. 495

4.
Diffraction record for HoFe3B4O12. The powder diffractogram is computed, not measured: it uses a cell relaxed with GGA+U and a wavelength of 1.5418 Å.
Peak positions follow from Bragg's law for the DFT cell and can differ from measured ones.

Cell and atoms:
```
HoFe3B4O12
1.0
4.826 2.786 2.544
-4.826 2.786 2.544
0.000 -5.573 2.544
Ho Fe B O
1 3 4 12
Direct
0.000 0.000 0.000
0.000 0.547 0.453
0.453 0.000 0.547
0.547 0.453 0.000
0.048 0.500 0.952
0.500 0.500 0.500
0.500 0.952 0.048
0.952 0.048 0.500
0.026 0.633 0.799
0.095 0.905 0.500
0.201 0.367 0.974
0.357 0.643 0.500
0.367 0.974 0.201
0.500 0.095 0.905
0.500 0.357 0.643
0.633 0.799 0.026
0.643 0.500 0.357
0.799 0.026 0.633
0.905 0.500 0.095
0.974 0.201 0.367
```

Peak list (8 most intense, 2θ from 10° to 80°, in order of rising 2θ)
5.636 Å, 2θ 15.7, rel. 345; 4.826 Å, 2θ 18.4, rel. 274; 3.666 Å, 2θ 24.3, rel. 824; 2.919 Å, 2θ 30.6, rel. 275; 2.818 Å, 2θ 31.8, rel. 1000; 2.413 Å, 2θ 37.3, rel. 266; 1.751 Å, 2θ 52.3, rel. 313; 1.736 Å, 2θ 52.7, rel. 203

5.
Diffraction record for MgCo6O2F10. The powder diffractogram is computed, not measured: it uses a cell relaxed with GGA+U and a wavelength of 1.5418 Å.
Peak positions follow from Bragg's law for the DFT cell and can differ from measured ones.

Cell and atoms:
```
MgCo6O2F10
1.0
4.931 0.000 0.000
-0.173 5.004 0.000
-0.187 -0.333 9.268
Mg Co O F
1 6 2 10
Direct
0.000 0.000 0.000
0.015 0.514 0.673
0.466 0.958 0.817
0.502 0.002 0.500
0.534 0.043 0.182
0.989 0.490 0.326
0.998 0.500 0.999
0.139 0.727 0.849
0.861 0.274 0.150
0.172 0.776 0.158
0.179 0.712 0.494
0.319 0.209 0.667
0.333 0.233 0.340
0.335 0.216 0.994
0.664 0.785 0.006
0.669 0.770 0.659
0.684 0.794 0.332
0.824 0.292 0.504
0.828 0.223 0.842
```

Peak list (8 most intense, 2θ from 10° to 80°, in order of rising 2θ)
3.573 Å, 2θ 24.9, rel. 1000; 3.449 Å, 2θ 25.8, rel. 916; 2.672 Å, 2θ 33.5, rel. 356; 2.643 Å, 2θ 33.9, rel. 291; 2.590 Å, 2θ 34.6, rel. 519; 1.845 Å, 2θ 49.4, rel. 308; 1.811 Å, 2θ 50.4, rel. 256; 1.806 Å, 2θ 50.5, rel. 256